Simulated X-ray powder pattern of Li4Ti2Mn3Sb3O16 for Cu Kα, 1.54184 Å, from a cell relaxed with PBE+U.

Crystal structure
```
data_Li4Ti2Mn3Sb3O16
_chemical_formula_sum 'Li8 Ti4 Mn6 Sb6 O32'
_cell_length_a 10.788
_cell_length_b 6.205
_cell_length_c 9.767
_cell_angle_alpha 90.00
_cell_angle_beta 91.14
_cell_angle_gamma 90.00
_symmetry_space_group_name_H-M 'C 1 m 1'
_symmetry_Int_Tables_number 8
loop_
_symmetry_equiv_pos_as_xyz
'x,y,z'
'x,-y,z'
'x+1/2,y+1/2,z'
'x+1/2,-y+1/2,z'
loop_
_atom_site_label
_atom_site_type_symbol
_atom_site_fract_x
_atom_site_fract_y
_atom_site_fract_z
_atom_site_occupancy
Li1 Li 0.000 0.000 0.000 1
Li2 Li 0.009 0.000 0.514 1
Li3 Li 0.173 0.500 0.100 1
Li4 Li 0.327 0.000 0.606 1
Ti1 Ti 0.140 0.500 0.523 1
Ti2 Ti 0.317 0.000 0.000 1
Mn1 Mn 0.076 0.256 0.790 1
Mn2 Mn 0.170 0.000 0.287 1
Sb1 Sb 0.320 0.500 0.784 1
Sb2 Sb 0.416 0.246 0.284 1
O1 O 0.000 0.000 0.186 1
O2 O 0.013 0.500 0.638 1
O3 O 0.080 0.250 0.406 1
O4 O 0.168 0.000 0.919 1
O5 O 0.170 0.500 0.899 1
O6 O 0.240 0.288 0.650 1
O7 O 0.264 0.217 0.159 1
O8 O 0.337 0.000 0.396 1
O9 O 0.344 0.500 0.396 1
O10 O 0.398 0.253 0.909 1
O11 O 0.483 0.500 0.698 1
O12 O 0.486 0.000 0.161 1
```

Peak list (12 most intense, 2θ from 10° to 80°, by angle)
2θ (°)	d [Å]	I_rel	index
16.4	5.390	22	2 0 0
18.2	4.883	100	0 0 2
18.6	4.761	37	2 0 -1
18.8	4.731	44	1 1 -1
18.9	4.689	33	1 1 1
33.3	2.691	22	2 2 0
34.3	2.615	31	4 0 -1
34.5	2.601	39	2 2 -1
34.7	2.586	53	4 0 1
43.4	2.083	30	2 2 -3
43.9	2.063	22	2 2 3
59.4	1.555	26	6 2 0

Simulated X-ray powder pattern of MgSc4Fe4O12 for Cu Kα, 1.54184 Å, from a cell relaxed with PBE+U.

Crystal structure
```
data_MgSc4Fe4O12
_chemical_formula_sum 'Mg1 Sc4 Fe4 O12'
_cell_length_a 5.351
_cell_length_b 5.599
_cell_length_c 7.836
_cell_angle_alpha 89.96
_cell_angle_beta 89.90
_cell_angle_gamma 84.15
_symmetry_space_group_name_H-M 'P 1'
_symmetry_Int_Tables_number 1
loop_
_symmetry_equiv_pos_as_xyz
'x,y,z'
loop_
_atom_site_label
_atom_site_type_symbol
_atom_site_fract_x
_atom_site_fract_y
_atom_site_fract_z
_atom_site_occupancy
Mg1 Mg 0.000 0.000 0.000 1
Sc1 Sc 0.401 0.309 0.504 1
Sc2 Sc 0.468 0.174 0.003 1
Sc3 Sc 0.811 0.593 0.005 1
Sc4 Sc 0.932 0.795 0.504 1
Fe1 Fe 0.427 0.749 0.264 1
Fe2 Fe 0.429 0.749 0.744 1
Fe3 Fe 0.936 0.273 0.714 1
Fe4 Fe 0.937 0.268 0.291 1
O1 O 0.096 0.320 0.006 1
O2 O 0.145 0.567 0.339 1
O3 O 0.145 0.569 0.671 1
O4 O 0.264 0.064 0.328 1
O5 O 0.264 0.067 0.687 1
O6 O 0.325 0.821 0.005 1
O7 O 0.593 0.657 0.504 1
O8 O 0.611 0.417 0.177 1
O9 O 0.612 0.417 0.831 1
O10 O 0.753 0.897 0.833 1
O11 O 0.754 0.899 0.172 1
O12 O 0.764 0.150 0.504 1
```

Peak list (12 most intense, 2θ from 10° to 80°, by angle)
2θ (°)	d [Å]	I_rel	index
21.9	4.061	23	1 1 0
31.7	2.820	86	1 1 2
32.1	2.785	30	0 2 0
33.5	2.677	100	-1 1 2
33.7	2.662	33	2 0 0
44.6	2.030	24	2 2 0
46.4	1.959	27	0 0 4
49.7	1.833	18	2 -2 0
57.9	1.592	20	3 1 2
58.5	1.578	18	2 0 4
59.2	1.560	16	-1 3 2
61.2	1.515	24	-3 1 2

Simulated X-ray powder pattern of NaLi2NiPCO7 for Cu Kα, 1.54184 Å, from a cell relaxed with PBE+U.

Crystal structure
```
data_NaLi2NiPCO7
_chemical_formula_sum 'Na2 Li4 Ni2 P2 C2 O14'
_cell_length_a 5.068
_cell_length_b 6.571
_cell_length_c 8.463
_cell_angle_alpha 90.00
_cell_angle_beta 95.10
_cell_angle_gamma 90.00
_symmetry_space_group_name_H-M 'P 1 21 1'
_symmetry_Int_Tables_number 4
loop_
_symmetry_equiv_pos_as_xyz
'x,y,z'
'-x,y+1/2,-z'
loop_
_atom_site_label
_atom_site_type_symbol
_atom_site_fract_x
_atom_site_fract_y
_atom_site_fract_z
_atom_site_occupancy
Na1 Na 0.228 0.000 0.267 1
Li1 Li 0.236 0.527 0.277 1
Li2 Li 0.286 0.248 0.898 1
Ni1 Ni 0.290 0.770 0.663 1
P1 P 0.230 0.266 0.588 1
C1 C 0.189 0.758 0.953 1
O1 O 0.015 0.782 0.830 1
O2 O 0.077 0.743 0.444 1
O3 O 0.111 0.733 0.093 1
O4 O 0.298 0.453 0.697 1
O5 O 0.344 0.083 0.691 1
O6 O 0.351 0.280 0.428 1
O7 O 0.438 0.759 0.926 1
```

Peak list (12 most intense, 2θ from 10° to 80°, by angle)
2θ (°)	d [Å]	I_rel	index
10.5	8.429	100	0 0 1
17.1	5.182	37	0 1 1
19.7	4.511	24	1 0 -1
21.3	4.170	44	1 0 1
22.2	4.003	23	1 1 0
26.3	3.387	30	1 0 -2
27.1	3.286	78	0 2 0
31.9	2.808	33	0 0 3
34.8	2.581	28	1 2 1
36.2	2.479	30	2 0 -1
40.5	2.227	31	1 1 3
56.0	1.643	24	0 4 0